1.
Calculated powder diffraction line list
Compound: BaZnSe2O6
Radiation: CuKα
Structure: the PBE geometry in the Materials Project
Peak positions follow from Bragg's law for the DFT cell and can differ from measured ones.

Atomic structure:
abc: 5.9399 13.7292 8.7655
angles: 90.00 95.94 90.00
Fractional positions:
Ba1 0.2243 0.2027 0.2676
Ba2 0.2243 0.2973 0.7676
Ba3 0.7757 0.7027 0.2324
Ba4 0.7757 0.7973 0.7324
Zn1 0.3290 0.6360 0.5419
Zn2 0.3290 0.8640 0.0419
Zn3 0.6710 0.1360 0.9581
Zn4 0.6710 0.3640 0.4581
Se1 0.2340 0.6434 0.9108
Se2 0.2340 0.8566 0.4108
Se3 0.2737 0.0094 0.7539
Se4 0.2737 0.4906 0.2539
Se5 0.7263 0.5094 0.7461
Se6 0.7263 0.9906 0.2461
Se7 0.7660 0.1434 0.5892
Se8 0.7660 0.3566 0.0892
O1 0.0018 0.1922 0.5220
O2 0.0018 0.3078 0.0220
O3 0.1472 0.5741 0.3700
O4 0.1472 0.9259 0.8700
O5 0.1602 0.6685 0.7174
O6 0.1602 0.8315 0.2174
O7 0.3524 0.1081 0.8747
O8 0.3524 0.3919 0.3747
O9 0.4431 0.7318 0.9629
O10 0.4431 0.7682 0.4629
O11 0.4723 0.0411 0.2681
O12 0.4723 0.4589 0.7681
O13 0.5277 0.5411 0.2319
O14 0.5277 0.9589 0.7319
O15 0.5569 0.2318 0.5371
O16 0.5569 0.2682 0.0371
O17 0.6476 0.6081 0.6253
O18 0.6476 0.8919 0.1253
O19 0.8398 0.1685 0.7826
O20 0.8398 0.3315 0.2826
O21 0.8528 0.0741 0.1300
O22 0.8528 0.4259 0.6300
O23 0.9982 0.6922 0.9780
O24 0.9982 0.8078 0.4780

Principal peaks in the range 10 to 90 degrees two-theta, by intensity:
- (1 3 1), 27.28 deg, rel. 100
- (1 1 -2), 24.95 deg, rel. 65
- (1 3 -1), 26.06 deg, rel. 49
- (1 1 2), 27.43 deg, rel. 39
- (2 0 0), 30.26 deg, rel. 38
- (0 4 2), 33.22 deg, rel. 32
- (0 2 3), 33.49 deg, rel. 30
- (1 3 0), 24.61 deg, rel. 25
- (0 4 3), 40.72 deg, rel. 24
- (0 2 0), 12.90 deg, rel. 16

---

2.
Calculated powder diffraction line list
Compound: Sn3Ge
Radiation: CuKα
Structure: the PBE geometry in the Materials Project
Peak positions follow from Bragg's law for the DFT cell and can differ from measured ones.

Atomic structure:
abc: 7.4176 7.4176 7.4176
angles: 90.00 90.00 90.00
Fractional positions:
Sn1 0.0000 0.0000 0.0000
Sn2 0.0000 0.5000 0.5000
Sn3 0.2500 0.2500 0.2500
Sn4 0.2500 0.2500 0.7500
Sn5 0.2500 0.7500 0.2500
Sn6 0.2500 0.7500 0.7500
Sn7 0.5000 0.0000 0.5000
Sn8 0.5000 0.5000 0.0000
Sn9 0.7500 0.2500 0.2500
Sn10 0.7500 0.2500 0.7500
Sn11 0.7500 0.7500 0.2500
Sn12 0.7500 0.7500 0.7500
Ge1 0.0000 0.0000 0.5000
Ge2 0.0000 0.5000 0.0000
Ge3 0.5000 0.0000 0.0000
Ge4 0.5000 0.5000 0.5000

Principal peaks in the range 10 to 90 degrees two-theta, by intensity:
- (2 2 0), 34.19 deg, rel. 100
- (4 2 2), 61.21 deg, rel. 38
- (4 0 0), 49.13 deg, rel. 18
- (6 2 0), 82.19 deg, rel. 18
- (4 4 0), 72.02 deg, rel. 12
- (1 1 1), 20.74 deg, rel. 2
- (3 1 1), 40.33 deg, rel. 1
- (2 0 0), 23.99 deg, rel. 1
- (3 3 1), 53.88 deg, rel. 1
- (4 2 0), 55.39 deg, rel. 1

---

3.
Calculated powder diffraction line list
Compound: PrN
Radiation: CuKα
Structure: the PBE geometry in the Materials Project
Peak positions follow from Bragg's law for the DFT cell and can differ from measured ones.

Atomic structure:
abc: 3.1608 3.1608 3.1608
angles: 90.00 90.00 90.00
Fractional positions:
Pr1 0.0000 0.0000 0.0000
N1 0.5000 0.5000 0.5000

Principal peaks in the range 10 to 90 degrees two-theta, by intensity:
- (1 1 0), 40.35 deg, rel. 100
- (1 0 0), 28.23 deg, rel. 88
- (2 1 0), 66.10 deg, rel. 34
- (2 1 1), 73.37 deg, rel. 33
- (1 1 1), 49.98 deg, rel. 26
- (2 0 0), 58.39 deg, rel. 16
- (2 2 0), 87.24 deg, rel. 11

---

Q: What is the formula in the third record?
A: PrN